1.
# PuSbPt
Calculated PXRD pattern, Cu Kα (weighted mean of Kα1 and Kα2). Input: a structure optimized by DFT (PBE).
Kinematic intensities with the Lorentz-polarization factor, no thermal factor.

Largest 8 diffraction maxima, by angle, 2θ = 5–70°:
d = 2.792 Å, intensity 17.7; d = 2.739 Å, intensity 100.0; d = 2.729 Å, intensity 46.3; d = 2.310 Å, intensity 34.6; d = 2.292 Å, intensity 58.4; d = 1.763 Å, intensity 26.1; d = 1.455 Å, intensity 14.6; d = 1.403 Å, intensity 13.3

Cell and atoms:
```
data_PuSbPt
_chemical_formula_sum 'Pu4 Sb4 Pt4'
_space_group_name_H-M_alt 'P 1'
_space_group_IT_number 1
_space_group_name_Hall 'P 1'
_cell_length_a 4.620
_cell_length_b 7.531
_cell_length_c 7.920
_cell_angle_alpha 90.00
_cell_angle_beta 90.00
_cell_angle_gamma 90.00
loop_
_atom_site_label
_atom_site_fract_x
_atom_site_fract_y
_atom_site_fract_z
Pu1 0.000 0.000 0.000
Pu2 0.000 0.500 0.061
Pu3 0.500 0.000 0.561
Pu4 0.500 0.500 0.500
Sb1 0.000 0.269 0.688
Sb2 0.000 0.731 0.688
Sb3 0.500 0.231 0.188
Sb4 0.500 0.769 0.188
Pt1 0.000 0.200 0.356
Pt2 0.000 0.800 0.356
Pt3 0.500 0.300 0.856
Pt4 0.500 0.700 0.856
```

2.
# Pu2SbPt9
Calculated PXRD pattern, Cu Kα (weighted mean of Kα1 and Kα2). Input: a structure optimized by DFT (PBE).
Kinematic intensities with the Lorentz-polarization factor, no thermal factor.

Largest 8 diffraction maxima, by angle, 2θ = 5–70°:
d = 12.372 Å, intensity 1.3; d = 3.923 Å, intensity 1.0; d = 2.476 Å, intensity 0.9; d = 2.386 Å, intensity 100.0; d = 2.068 Å, intensity 33.2; d = 2.062 Å, intensity 16.2; d = 1.463 Å, intensity 11.1; d = 1.460 Å, intensity 21.8

Cell and atoms:
```
data_Pu2SbPt9
_chemical_formula_sum 'Pu2 Sb1 Pt9'
_space_group_name_H-M_alt 'P 1'
_space_group_IT_number 1
_space_group_name_Hall 'P 1'
_cell_length_a 4.137
_cell_length_b 4.137
_cell_length_c 12.372
_cell_angle_alpha 90.00
_cell_angle_beta 90.00
_cell_angle_gamma 90.00
loop_
_atom_site_label
_atom_site_fract_x
_atom_site_fract_y
_atom_site_fract_z
Pu1 0.000 0.000 0.167
Pu2 0.000 0.000 0.833
Sb1 0.000 0.000 0.500
Pt1 0.000 0.500 0.000
Pt2 0.000 0.500 0.337
Pt3 0.000 0.500 0.663
Pt4 0.500 0.000 0.000
Pt5 0.500 0.000 0.337
Pt6 0.500 0.000 0.663
Pt7 0.500 0.500 0.172
Pt8 0.500 0.500 0.500
Pt9 0.500 0.500 0.828
```

3.
# Pu4PtSe3
Calculated PXRD pattern, Cu Kα (weighted mean of Kα1 and Kα2). Input: a structure optimized by DFT (PBE).
Kinematic intensities with the Lorentz-polarization factor, no thermal factor.

Largest 8 diffraction maxima, by angle, 2θ = 5–70°:
d = 3.427 Å, intensity 12.9; d = 3.375 Å, intensity 12.5; d = 2.945 Å, intensity 100.0; d = 2.106 Å, intensity 13.0; d = 2.082 Å, intensity 50.6; d = 1.713 Å, intensity 13.8; d = 1.687 Å, intensity 13.3; d = 1.472 Å, intensity 12.7

Cell and atoms:
```
data_Pu4PtSe3
_chemical_formula_sum 'Pu8 Pt2 Se6'
_space_group_name_H-M_alt 'P 1'
_space_group_IT_number 1
_space_group_name_Hall 'P 1'
_cell_length_a 8.426
_cell_length_b 11.780
_cell_length_c 4.118
_cell_angle_alpha 90.00
_cell_angle_beta 90.00
_cell_angle_gamma 90.00
loop_
_atom_site_label
_atom_site_fract_x
_atom_site_fract_y
_atom_site_fract_z
Pu1 0.000 0.245 0.000
Pu2 0.000 0.755 0.000
Pu3 0.242 0.000 0.500
Pu4 0.258 0.500 0.500
Pu5 0.500 0.255 0.000
Pu6 0.500 0.745 0.000
Pu7 0.742 0.500 0.500
Pu8 0.758 0.000 0.500
Pt1 0.000 0.000 0.000
Pt2 0.500 0.500 0.000
Se1 0.000 0.500 0.000
Se2 0.250 0.250 0.500
Se3 0.250 0.750 0.500
Se4 0.500 0.000 0.000
Se5 0.750 0.250 0.500
Se6 0.750 0.750 0.500
```

4.
# PuThPtSe
Calculated PXRD pattern, Cu Kα (weighted mean of Kα1 and Kα2). Input: a structure optimized by DFT (PBE).
Kinematic intensities with the Lorentz-polarization factor, no thermal factor.

Largest 8 diffraction maxima, by angle, 2θ = 5–70°:
d = 7.236 Å, intensity 13.0; d = 3.384 Å, intensity 8.8; d = 2.978 Å, intensity 100.0; d = 2.158 Å, intensity 39.4; d = 2.056 Å, intensity 36.3; d = 1.692 Å, intensity 19.6; d = 1.489 Å, intensity 12.4; d = 1.358 Å, intensity 17.0

Cell and atoms:
```
data_PuThPtSe
_chemical_formula_sum 'Pu3 Th3 Pt3 Se3'
_space_group_name_H-M_alt 'P 1'
_space_group_IT_number 1
_space_group_name_Hall 'P 1'
_cell_length_a 4.113
_cell_length_b 4.113
_cell_length_c 21.708
_cell_angle_alpha 90.00
_cell_angle_beta 90.00
_cell_angle_gamma 120.00
loop_
_atom_site_label
_atom_site_fract_x
_atom_site_fract_y
_atom_site_fract_z
Pu1 0.000 0.000 0.000
Pu2 0.333 0.667 0.667
Pu3 0.667 0.333 0.333
Th1 0.000 0.000 0.488
Th2 0.333 0.667 0.155
Th3 0.667 0.333 0.821
Pt1 0.000 0.000 0.746
Pt2 0.333 0.667 0.413
Pt3 0.667 0.333 0.079
Se1 0.000 0.000 0.245
Se2 0.333 0.667 0.912
Se3 0.667 0.333 0.579
```

5.
# Pu4Si2Pt5
Calculated PXRD pattern, Cu Kα (weighted mean of Kα1 and Kα2). Input: a structure optimized by DFT (PBE).
Kinematic intensities with the Lorentz-polarization factor, no thermal factor.

Largest 8 diffraction maxima, by angle, 2θ = 5–70°:
d = 2.708 Å, intensity 86.4; d = 2.616 Å, intensity 100.0; d = 2.578 Å, intensity 90.2; d = 2.478 Å, intensity 20.7; d = 2.050 Å, intensity 56.0; d = 2.004 Å, intensity 33.6; d = 1.895 Å, intensity 18.9; d = 1.433 Å, intensity 23.2

Cell and atoms:
```
data_Pu4Si2Pt5
_chemical_formula_sum 'Pu4 Si2 Pt5'
_space_group_name_H-M_alt 'P 1'
_space_group_IT_number 1
_space_group_name_Hall 'P 1'
_cell_length_a 6.645
_cell_length_b 4.100
_cell_length_c 8.252
_cell_angle_alpha 90.00
_cell_angle_beta 93.84
_cell_angle_gamma 90.00
loop_
_atom_site_label
_atom_site_fract_x
_atom_site_fract_y
_atom_site_fract_z
Pu1 0.224 0.000 0.382
Pu2 0.251 0.000 0.903
Pu3 0.749 0.000 0.097
Pu4 0.776 0.000 0.618
Si1 0.085 0.500 0.132
Si2 0.915 0.500 0.868
Pt1 0.141 0.500 0.647
Pt2 0.447 0.500 0.168
Pt3 0.500 0.500 0.500
Pt4 0.553 0.500 0.832
Pt5 0.859 0.500 0.353
```

6.
# Pu3SiPt2
Calculated PXRD pattern, Cu Kα (weighted mean of Kα1 and Kα2). Input: a structure optimized by DFT (PBE).
Kinematic intensities with the Lorentz-polarization factor, no thermal factor.

Largest 8 diffraction maxima, by angle, 2θ = 5–70°:
d = 2.890 Å, intensity 53.0; d = 2.804 Å, intensity 38.0; d = 2.793 Å, intensity 100.0; d = 2.731 Å, intensity 40.7; d = 2.715 Å, intensity 37.3; d = 2.523 Å, intensity 54.4; d = 2.186 Å, intensity 39.9; d = 2.055 Å, intensity 50.8

Cell and atoms:
```
data_Pu3SiPt2
_chemical_formula_sum 'Pu12 Si4 Pt8'
_space_group_name_H-M_alt 'P 1'
_space_group_IT_number 1
_space_group_name_Hall 'P 1'
_cell_length_a 11.571
_cell_length_b 4.110
_cell_length_c 11.425
_cell_angle_alpha 90.00
_cell_angle_beta 90.00
_cell_angle_gamma 90.00
loop_
_atom_site_label
_atom_site_fract_x
_atom_site_fract_y
_atom_site_fract_z
Pu1 0.055 0.250 0.116
Pu2 0.128 0.750 0.560
Pu3 0.211 0.250 0.794
Pu4 0.289 0.750 0.294
Pu5 0.372 0.250 0.060
Pu6 0.445 0.750 0.616
Pu7 0.555 0.250 0.384
Pu8 0.628 0.750 0.940
Pu9 0.711 0.250 0.706
Pu10 0.789 0.750 0.206
Pu11 0.872 0.250 0.440
Pu12 0.945 0.750 0.884
Si1 0.123 0.250 0.366
Si2 0.377 0.750 0.866
Si3 0.623 0.250 0.134
Si4 0.877 0.750 0.634
Pt1 0.016 0.750 0.309
Pt2 0.190 0.750 0.984
Pt3 0.310 0.250 0.484
Pt4 0.484 0.250 0.809
Pt5 0.516 0.750 0.191
Pt6 0.690 0.750 0.516
Pt7 0.810 0.250 0.016
Pt8 0.984 0.250 0.691
```

7.
# Pu3Si2Pt2
Calculated PXRD pattern, Cu Kα (weighted mean of Kα1 and Kα2). Input: a structure optimized by DFT (PBE).
Kinematic intensities with the Lorentz-polarization factor, no thermal factor.

Largest 8 diffraction maxima, by angle, 2θ = 5–70°:
d = 3.738 Å, intensity 41.9; d = 2.641 Å, intensity 90.2; d = 2.595 Å, intensity 58.1; d = 2.585 Å, intensity 41.3; d = 2.514 Å, intensity 36.5; d = 2.403 Å, intensity 55.5; d = 2.251 Å, intensity 100.0; d = 2.158 Å, intensity 37.3

Cell and atoms:
```
data_Pu3Si2Pt2
_chemical_formula_sum 'Pu12 Si8 Pt8'
_space_group_name_H-M_alt 'P 1'
_space_group_IT_number 1
_space_group_name_Hall 'P 1'
_cell_length_a 5.590
_cell_length_b 7.984
_cell_length_c 12.945
_cell_angle_alpha 90.00
_cell_angle_beta 90.00
_cell_angle_gamma 90.00
loop_
_atom_site_label
_atom_site_fract_x
_atom_site_fract_y
_atom_site_fract_z
Pu1 0.125 0.115 0.104
Pu2 0.125 0.115 0.396
Pu3 0.125 0.385 0.604
Pu4 0.125 0.385 0.896
Pu5 0.339 0.744 0.750
Pu6 0.339 0.756 0.250
Pu7 0.661 0.244 0.750
Pu8 0.661 0.256 0.250
Pu9 0.875 0.615 0.104
Pu10 0.875 0.615 0.396
Pu11 0.875 0.885 0.604
Pu12 0.875 0.885 0.896
Si1 0.153 0.097 0.750
Si2 0.153 0.403 0.250
Si3 0.334 0.750 0.000
Si4 0.334 0.750 0.500
Si5 0.666 0.250 0.000
Si6 0.666 0.250 0.500
Si7 0.847 0.597 0.750
Si8 0.847 0.903 0.250
Pt1 0.387 0.042 0.593
Pt2 0.387 0.042 0.907
Pt3 0.387 0.458 0.093
Pt4 0.387 0.458 0.407
Pt5 0.613 0.542 0.593
Pt6 0.613 0.542 0.907
Pt7 0.613 0.958 0.093
Pt8 0.613 0.958 0.407
```

8.
# Pu2SiPt6
Calculated PXRD pattern, Cu Kα (weighted mean of Kα1 and Kα2). Input: a structure optimized by DFT (PBE).
Kinematic intensities with the Lorentz-polarization factor, no thermal factor.

Largest 8 diffraction maxima, by angle, 2θ = 5–70°:
d = 2.991 Å, intensity 38.5; d = 2.413 Å, intensity 20.6; d = 2.356 Å, intensity 51.9; d = 2.348 Å, intensity 100.0; d = 2.152 Å, intensity 63.5; d = 2.119 Å, intensity 28.3; d = 1.931 Å, intensity 17.5; d = 1.404 Å, intensity 24.1

Cell and atoms:
```
data_Pu2SiPt6
_chemical_formula_sum 'Pu2 Si1 Pt6'
_space_group_name_H-M_alt 'P 1'
_space_group_IT_number 1
_space_group_name_Hall 'P 1'
_cell_length_a 5.619
_cell_length_b 5.619
_cell_length_c 6.168
_cell_angle_alpha 102.18
_cell_angle_beta 102.18
_cell_angle_gamma 60.26
loop_
_atom_site_label
_atom_site_fract_x
_atom_site_fract_y
_atom_site_fract_z
Pu1 0.144 0.144 0.360
Pu2 0.856 0.856 0.640
Si1 0.500 0.500 0.500
Pt1 0.113 0.622 0.192
Pt2 0.377 0.377 0.797
Pt3 0.378 0.887 0.808
Pt4 0.622 0.113 0.192
Pt5 0.623 0.623 0.203
Pt6 0.887 0.378 0.808
```

9.
# PuSiPt3
Calculated PXRD pattern, Cu Kα (weighted mean of Kα1 and Kα2). Input: a structure optimized by DFT (PBE).
Kinematic intensities with the Lorentz-polarization factor, no thermal factor.

Largest 8 diffraction maxima, by angle, 2θ = 5–70°:
d = 3.061 Å, intensity 58.7; d = 2.957 Å, intensity 97.8; d = 2.309 Å, intensity 100.0; d = 2.277 Å, intensity 58.9; d = 2.153 Å, intensity 22.4; d = 2.142 Å, intensity 45.7; d = 2.120 Å, intensity 34.6; d = 1.560 Å, intensity 36.0

Cell and atoms:
```
data_PuSiPt3
_chemical_formula_sum 'Pu2 Si2 Pt6'
_space_group_name_H-M_alt 'P 1'
_space_group_IT_number 1
_space_group_name_Hall 'P 1'
_cell_length_a 6.525
_cell_length_b 6.525
_cell_length_c 6.525
_cell_angle_alpha 130.30
_cell_angle_beta 97.94
_cell_angle_gamma 102.42
loop_
_atom_site_label
_atom_site_fract_x
_atom_site_fract_y
_atom_site_fract_z
Pu1 0.284 0.034 0.250
Pu2 0.716 0.966 0.750
Si1 0.000 0.500 0.500
Si2 0.500 0.500 0.000
Pt1 0.119 0.369 0.750
Pt2 0.258 0.000 0.758
Pt3 0.258 0.500 0.258
Pt4 0.742 0.000 0.242
Pt5 0.742 0.500 0.742
Pt6 0.881 0.631 0.250
```

10.
# PuSiPt4
Calculated PXRD pattern, Cu Kα (weighted mean of Kα1 and Kα2). Input: a structure optimized by DFT (PBE).
Kinematic intensities with the Lorentz-polarization factor, no thermal factor.

Largest 8 diffraction maxima, by angle, 2θ = 5–70°:
d = 3.114 Å, intensity 16.9; d = 2.548 Å, intensity 100.0; d = 2.454 Å, intensity 46.7; d = 2.398 Å, intensity 27.8; d = 2.301 Å, intensity 29.2; d = 2.147 Å, intensity 51.3; d = 1.959 Å, intensity 30.7; d = 1.492 Å, intensity 15.4

Cell and atoms:
```
data_PuSiPt4
_chemical_formula_sum 'Pu2 Si2 Pt8'
_space_group_name_H-M_alt 'P 1'
_space_group_IT_number 1
_space_group_name_Hall 'P 1'
_cell_length_a 7.673
_cell_length_b 3.918
_cell_length_c 6.903
_cell_angle_alpha 90.00
_cell_angle_beta 90.00
_cell_angle_gamma 90.00
loop_
_atom_site_label
_atom_site_fract_x
_atom_site_fract_y
_atom_site_fract_z
Pu1 0.250 0.000 0.126
Pu2 0.750 0.000 0.874
Si1 0.250 0.000 0.714
Si2 0.750 0.000 0.286
Pt1 0.000 0.000 0.500
Pt2 0.057 0.500 0.810
Pt3 0.250 0.500 0.447
Pt4 0.443 0.500 0.810
Pt5 0.500 0.000 0.500
Pt6 0.557 0.500 0.190
Pt7 0.750 0.500 0.553
Pt8 0.943 0.500 0.190
```

11.
# PuSi3Pt5
Calculated PXRD pattern, Cu Kα (weighted mean of Kα1 and Kα2). Input: a structure optimized by DFT (PBE).
Kinematic intensities with the Lorentz-polarization factor, no thermal factor.

Largest 8 diffraction maxima, by angle, 2θ = 5–70°:
d = 3.521 Å, intensity 61.4; d = 2.857 Å, intensity 51.6; d = 2.803 Å, intensity 100.0; d = 2.788 Å, intensity 66.1; d = 2.607 Å, intensity 42.1; d = 2.423 Å, intensity 91.8; d = 2.013 Å, intensity 47.2; d = 1.952 Å, intensity 54.3

Cell and atoms:
```
data_PuSi3Pt5
_chemical_formula_sum 'Pu2 Si6 Pt10'
_space_group_name_H-M_alt 'P 1'
_space_group_IT_number 1
_space_group_name_Hall 'P 1'
_cell_length_a 6.583
_cell_length_b 6.583
_cell_length_c 12.749
_cell_angle_alpha 90.00
_cell_angle_beta 90.00
_cell_angle_gamma 145.50
loop_
_atom_site_label
_atom_site_fract_x
_atom_site_fract_y
_atom_site_fract_z
Pu1 0.147 0.853 0.750
Pu2 0.853 0.147 0.250
Si1 0.119 0.881 0.250
Si2 0.385 0.615 0.041
Si3 0.385 0.615 0.459
Si4 0.615 0.385 0.541
Si5 0.615 0.385 0.959
Si6 0.881 0.119 0.750
Pt1 0.000 0.000 0.000
Pt2 0.000 0.000 0.500
Pt3 0.208 0.792 0.080
Pt4 0.208 0.792 0.420
Pt5 0.451 0.549 0.646
Pt6 0.451 0.549 0.854
Pt7 0.549 0.451 0.146
Pt8 0.549 0.451 0.354
Pt9 0.792 0.208 0.580
Pt10 0.792 0.208 0.920
```

12.
# SmPu3Pt8
Calculated PXRD pattern, Cu Kα (weighted mean of Kα1 and Kα2). Input: a structure optimized by DFT (PBE).
Kinematic intensities with the Lorentz-polarization factor, no thermal factor.

Largest 8 diffraction maxima, by angle, 2θ = 5–70°:
d = 2.733 Å, intensity 30.5; d = 2.524 Å, intensity 71.7; d = 2.333 Å, intensity 100.0; d = 2.288 Å, intensity 84.9; d = 1.535 Å, intensity 30.0; d = 1.488 Å, intensity 25.2; d = 1.428 Å, intensity 32.4; d = 1.367 Å, intensity 29.1

Cell and atoms:
```
data_SmPu3Pt8
_chemical_formula_sum 'Sm1 Pu3 Pt8'
_space_group_name_H-M_alt 'P 1'
_space_group_IT_number 1
_space_group_name_Hall 'P 1'
_cell_length_a 5.467
_cell_length_b 5.467
_cell_length_c 8.951
_cell_angle_alpha 90.00
_cell_angle_beta 90.00
_cell_angle_gamma 120.00
loop_
_atom_site_label
_atom_site_fract_x
_atom_site_fract_y
_atom_site_fract_z
Sm1 0.000 0.000 0.000
Pu1 0.000 0.000 0.376
Pu2 0.667 0.333 0.493
Pu3 0.667 0.333 0.860
Pt1 0.165 0.329 0.682
Pt2 0.165 0.835 0.682
Pt3 0.333 0.667 0.431
Pt4 0.333 0.667 0.931
Pt5 0.503 0.005 0.181
Pt6 0.503 0.497 0.181
Pt7 0.671 0.835 0.682
Pt8 0.995 0.497 0.181
```